Diffraction record for Mn2Sb3I3O5. The powder diffraction line list is theoretical, not measured: it uses a DFT-relaxed cell (PBE+U, Alexandria) and Cu Ka.

Main lines, sorted by position (10 to 90 degrees two-theta):
two_theta, I_rel
20.0, 42
22.4, 51
28.7, 100
29.0, 35
29.2, 59
30.3, 97
30.4, 35
34.0, 43
35.5, 44
37.3, 29

Cell and atoms:
Cell lengths 6.5193, 10.4752, 10.4868 Å; angles 78.63, 72.87, 89.26 degrees
Space group P-1 (No. 2)
Unique sites:
Mn  0.2290  0.4215  0.0033
Mn  0.2328  0.7014  0.7283
Sb  0.2184  0.4308  0.3348
Sb  0.2517  0.7156  0.0718
Sb  0.3016  0.1570  0.2323
I  0.1785  0.7805  0.4503
I  0.2357  0.9612  0.8035
I  0.2435  0.4185  0.7062
O  0.1025  0.3185  0.2261
O  0.1463  0.6214  0.9525
O  0.3586  0.5370  0.1401
O  0.4282  0.2530  0.0372
O  0.4344  0.2842  0.3138